Structure and computed XRD peak list of BaSc6Ni4O15 (a DFT-relaxed cell (PBE+U, Alexandria); λ = 1.5418 Å (Cu Kα)).
Lines closer than 0.1° are merged.

Principal peaks in the range 10° ≤ 2θ ≤ 80°, by intensity:
- 2θ 29.8, I = 100
- 2θ 39.3, I = 93
- 2θ 44.7, I = 88
- 2θ 35.8, I = 77
- 2θ 25.6, I = 74
- 2θ 60.9, I = 72
- 2θ 27.8, I = 71
- 2θ 51.5, I = 64
- 2θ 30.3, I = 62
- 2θ 22.4, I = 59

a = 7.9812 Å, b = 7.9812 Å, c = 9.7229 Å
α = 90.00°, β = 90.00°, γ = 83.43°
Fractional positions:
1 Ba 0.0000 0.0000 0.0000
2 Ba 0.5000 0.5000 0.5000
3 Sc 0.0448 0.2219 0.6450
4 Sc 0.1844 0.8156 0.6405
5 Sc 0.2219 0.0448 0.3550
6 Sc 0.2781 0.4552 0.8550
7 Sc 0.3156 0.6844 0.1405
8 Sc 0.4552 0.2781 0.1450
9 Sc 0.5448 0.7219 0.8550
10 Sc 0.6844 0.3156 0.8595
11 Sc 0.7219 0.5448 0.1450
12 Sc 0.7781 0.9552 0.6450
13 Sc 0.8156 0.1844 0.3595
14 Sc 0.9552 0.7781 0.3550
15 Ni 0.0825 0.4049 0.1163
16 Ni 0.0951 0.4175 0.3837
17 Ni 0.4049 0.0825 0.8837
18 Ni 0.4175 0.0951 0.6163
19 Ni 0.5825 0.9049 0.3837
20 Ni 0.5951 0.9175 0.1163
21 Ni 0.9049 0.5825 0.6163
22 Ni 0.9175 0.5951 0.8837
23 O 0.0000 0.0000 0.5000
24 O 0.0438 0.2150 0.2529
25 O 0.0585 0.4415 0.7500
26 O 0.1057 0.6344 0.5000
27 O 0.1344 0.6057 0.0000
28 O 0.1505 0.8495 0.2405
29 O 0.2150 0.0438 0.7471
30 O 0.2474 0.2474 0.5000
31 O 0.2526 0.2526 0.0000
32 O 0.2850 0.4562 0.2471
33 O 0.3495 0.6505 0.7405
34 O 0.3656 0.8943 0.5000
35 O 0.3943 0.8656 0.0000
36 O 0.4415 0.0585 0.2500
37 O 0.4562 0.2850 0.7529
38 O 0.5000 0.5000 0.0000
39 O 0.5438 0.7150 0.2471
40 O 0.5585 0.9415 0.7500
41 O 0.6057 0.1344 0.0000
42 O 0.6344 0.1057 0.5000
43 O 0.6505 0.3495 0.2595
44 O 0.7150 0.5438 0.7529
45 O 0.7474 0.7474 0.0000
46 O 0.7526 0.7526 0.5000
47 O 0.7850 0.9562 0.2529
48 O 0.8495 0.1505 0.7595
49 O 0.8656 0.3943 0.0000
50 O 0.8943 0.3656 0.5000
51 O 0.9415 0.5585 0.2500
52 O 0.9562 0.7850 0.7471



Structure and computed XRD peak list of BaSc8Ni2O15 (a DFT-relaxed cell (PBE+U, Alexandria); λ = 1.5418 Å (Cu Kα)).
Lines closer than 0.1° are merged.

Principal peaks in the range 10° ≤ 2θ ≤ 80°, by intensity:
- 2θ 29.5, I = 100
- 2θ 44.1, I = 87
- 2θ 38.8, I = 85
- 2θ 25.3, I = 73
- 2θ 29.9, I = 62
- 2θ 35.3, I = 61
- 2θ 50.8, I = 58
- 2θ 59.7, I = 57
- 2θ 27.3, I = 57
- 2θ 61.4, I = 54

a = 8.1092 Å, b = 8.1092 Å, c = 9.8199 Å
α = 90.00°, β = 90.00°, γ = 83.79°
Fractional positions:
1 Ba 0.2243 0.7757 0.5000
2 Ba 0.7757 0.2243 0.0000
3 Sc 0.0308 0.7047 0.8712
4 Sc 0.0645 0.9355 0.1552
5 Sc 0.1760 0.3510 0.6338
6 Sc 0.2017 0.5382 0.1656
7 Sc 0.2953 0.9692 0.8712
8 Sc 0.3510 0.1760 0.1338
9 Sc 0.4391 0.5609 0.8824
10 Sc 0.4618 0.7983 0.1656
11 Sc 0.5382 0.2017 0.6656
12 Sc 0.5609 0.4391 0.3824
13 Sc 0.6490 0.8240 0.6338
14 Sc 0.7047 0.0308 0.3712
15 Sc 0.7983 0.4618 0.6656
16 Sc 0.8240 0.6490 0.1338
17 Sc 0.9355 0.0645 0.6552
18 Sc 0.9692 0.2953 0.3712
19 Ni 0.1560 0.3323 0.9077
20 Ni 0.3323 0.1560 0.4077
21 Ni 0.6677 0.8440 0.9077
22 Ni 0.8440 0.6677 0.4077
23 O 0.0017 0.5065 0.0213
24 O 0.0287 0.7126 0.2627
25 O 0.1002 0.8998 0.7565
26 O 0.1133 0.1435 0.5165
27 O 0.1435 0.1133 0.0165
28 O 0.1838 0.3216 0.2695
29 O 0.2110 0.5337 0.7812
30 O 0.2465 0.7535 0.0239
31 O 0.2874 0.9713 0.2627
32 O 0.3216 0.1838 0.7695
33 O 0.3560 0.3924 0.0262
34 O 0.3924 0.3560 0.5262
35 O 0.3951 0.6049 0.2850
36 O 0.4663 0.7890 0.7812
37 O 0.4935 0.9983 0.0213
38 O 0.5065 0.0017 0.5213
39 O 0.5337 0.2110 0.2812
40 O 0.6049 0.3951 0.7850
41 O 0.6076 0.6440 0.0262
42 O 0.6440 0.6076 0.5262
43 O 0.6784 0.8162 0.2695
44 O 0.7126 0.0287 0.7627
45 O 0.7535 0.2465 0.5239
46 O 0.7890 0.4663 0.2812
47 O 0.8162 0.6784 0.7695
48 O 0.8565 0.8867 0.5165
49 O 0.8867 0.8565 0.0165
50 O 0.8998 0.1002 0.2565
51 O 0.9713 0.2874 0.7627
52 O 0.9983 0.4935 0.5213



Structure and computed XRD peak list of BaSm2NiO5 (a DFT-relaxed cell (PBE+U, Alexandria); λ = 1.5418 Å (Cu Kα)).
Lines closer than 0.1° are merged.

Principal peaks in the range 10° ≤ 2θ ≤ 80°, by intensity:
- 2θ 31.7, I = 100
- 2θ 27.4, I = 32
- 2θ 30.2, I = 31
- 2θ 55.6, I = 25
- 2θ 54.6, I = 22
- 2θ 43.6, I = 16
- 2θ 45.5, I = 15
- 2θ 47.4, I = 15
- 2θ 39.2, I = 13
- 2θ 30.6, I = 11

a = 6.8192 Å, b = 6.8192 Å, c = 6.8192 Å
α = 147.31°, β = 128.55°, γ = 62.31°
Fractional positions:
1 Ba 0.0000 0.0000 0.0000
2 Sm 0.2971 0.7971 0.5000
3 Sm 0.7029 0.2029 0.5000
4 Ni 0.5000 0.5000 0.0000
5 O 0.1122 0.3531 0.7591
6 O 0.4060 0.6469 0.7591
7 O 0.5000 0.0000 0.5000
8 O 0.5940 0.3531 0.2409
9 O 0.8878 0.6469 0.2409